Structure and calculated XRD peak list of CaH4SO6 (a structure optimized by DFT (GGA-PBE); Cu Kα (weighted mean of Kα1 and Kα2)).
Intensities are scaled so that the largest is 100.

Atomic structure:
```
CaH4SO6
1.0
2.8422 -7.7815 0.0000
2.8422 7.7815 0.0000
-2.5947 0.0000 5.8360
Ca H S O
2 8 2 12
Cartesian
0.8962 5.0411 4.3770 Ca
2.1935 -5.0411 1.4590 Ca
0.4094 0.2418 2.8638 H
-0.8879 -0.2418 5.7818 H
0.2765 1.4098 5.7551 H
1.5158 1.4098 2.9989 H
1.5739 -1.4098 2.8371 H
2.8131 -1.4098 0.0809 H
3.9776 0.2418 0.0542 H
2.6802 -0.2418 2.9722 H
2.1935 5.1305 1.4590 S
0.8962 -5.1305 4.3770 S
-1.4700 1.8147 5.5195 O
1.0932 4.2688 1.9889 O
0.6231 1.1707 2.6463 O
-0.1727 -1.8147 2.6014 O
3.2938 4.2688 0.9291 O
-0.6742 -1.1707 5.5643 O
3.7639 1.1707 0.2717 O
-0.2041 -4.2688 4.9069 O
3.2624 1.8147 3.2346 O
2.4666 -1.1707 3.1897 O
1.9965 -4.2688 3.8471 O
4.5597 -1.8147 0.3166 O
```

Principal peaks in the range 10 to 90 degrees two-theta, in order of rising 2θ:
2θ (°)  Rel. int.
11.4  75
18.0  26
24.2  100
28.9  30
32.8  30
33.3  20
33.6  21
42.9  19
46.9  15
49.7  13

Structure and calculated XRD peak list of Sr2HfSnO6 (a structure optimized by DFT (GGA-PBE); Cu Kα (weighted mean of Kα1 and Kα2)).
Intensities are scaled so that the largest is 100.

Atomic structure:
```
Sr2HfSnO6
1.0
0.0000 4.1235 4.1235
4.1235 0.0000 4.1235
4.1235 4.1235 0.0000
Sr Hf Sn O
2 1 1 6
Cartesian
2.0617 2.0617 2.0617 Sr
6.1852 6.1852 6.1852 Sr
0.0000 0.0000 0.0000 Hf
4.1235 4.1235 4.1235 Sn
4.1235 4.1235 2.0614 O
4.1235 2.0614 4.1235 O
6.1856 4.1235 4.1235 O
2.0614 4.1235 4.1235 O
4.1235 6.1856 4.1235 O
4.1235 4.1235 6.1856 O
```

Principal peaks in the range 10 to 90 degrees two-theta, in order of rising 2θ:
2θ (°)  Rel. int.
18.6  3
21.6  15
30.7  100
43.9  31
49.4  7
54.5  41
63.8  19
72.5  18
80.7  7
88.8  23

Structure and calculated XRD peak list of RbLi2H6N3 (a structure optimized by DFT (GGA-PBE); Cu Kα (weighted mean of Kα1 and Kα2)).
Intensities are scaled so that the largest is 100.

Atomic structure:
```
RbLi2H6N3
1.0
4.4319 -5.6168 0.0000
4.4319 5.6168 0.0000
0.0000 0.0000 5.3967
Rb Li H N
2 4 12 6
Cartesian
4.4319 3.2624 4.0475 Rb
4.4319 -3.2624 1.3492 Rb
3.1776 0.0000 0.0000 Li
3.1776 0.0000 2.6983 Li
5.6861 0.0000 0.0000 Li
5.6861 0.0000 2.6983 Li
1.9339 2.1051 4.0475 H
1.0913 0.7468 4.0475 H
1.0913 -0.7468 1.3492 H
3.6378 1.7316 1.3492 H
1.9339 -2.1051 1.3492 H
5.2259 1.7316 1.3492 H
3.6378 -1.7316 4.0475 H
6.9299 2.1051 4.0475 H
5.2259 -1.7316 4.0475 H
7.7725 0.7468 4.0475 H
7.7725 -0.7468 1.3492 H
6.9299 -2.1051 1.3492 H
2.0601 1.0878 4.0475 N
2.0601 -1.0878 1.3492 N
4.4319 1.0803 1.3492 N
4.4319 -1.0803 4.0475 N
6.8037 1.0878 4.0475 N
6.8037 -1.0878 1.3492 N
```

Principal peaks in the range 10 to 90 degrees two-theta, in order of rising 2θ:
2θ (°)  Rel. int.
15.8  24
20.0  27
20.8  100
25.6  42
25.8  23
30.6  58
30.8  54
33.2  26
35.6  38
42.4  33

Structure and calculated XRD peak list of EuScO3 (a structure optimized by DFT (GGA-PBE); Cu Kα (weighted mean of Kα1 and Kα2)).
Intensities are scaled so that the largest is 100.

Atomic structure:
```
EuScO3
1.0
5.8158 0.0000 0.0000
0.0000 8.0231 0.0000
0.0000 0.0000 5.6007
Eu Sc O
4 4 12
Cartesian
0.3229 2.0058 0.0811 Eu
2.5850 6.0173 2.8815 Eu
3.2308 2.0058 2.7192 Eu
5.4929 6.0173 5.5195 Eu
0.0000 0.0000 2.8003 Sc
0.0000 4.0115 2.8003 Sc
2.9079 0.0000 0.0000 Sc
2.9079 4.0115 0.0000 Sc
0.2693 6.0173 2.1647 O
1.1512 4.4900 4.5009 O
1.1512 7.5446 4.5009 O
1.7567 0.4785 1.7006 O
1.7567 3.5331 1.7006 O
2.6386 2.0058 4.9650 O
3.1772 6.0173 0.6357 O
4.0591 4.4900 3.9001 O
4.0591 7.5446 3.9001 O
4.6646 0.4785 1.0997 O
4.6646 3.5331 1.0997 O
5.5465 2.0058 3.4360 O
```

Principal peaks in the range 10 to 90 degrees two-theta, in order of rising 2θ:
2θ (°)  Rel. int.
22.0  30
22.2  19
24.7  16
30.7  20
31.4  100
32.0  23
39.2  15
44.9  20
51.1  17
56.6  23

Structure and calculated XRD peak list of Ca3Al3N5 (a structure optimized by DFT (GGA-PBE); Cu Kα (weighted mean of Kα1 and Kα2)).
Intensities are scaled so that the largest is 100.

Atomic structure:
```
Ca3Al3N5
1.0
5.6759 0.0000 0.0000
-0.7087 6.9163 0.0000
-2.0947 -2.8383 7.5614
Ca Al N
6 6 10
Cartesian
0.3999 0.4048 1.5206 Ca
-1.1667 -0.0016 6.6798 Ca
-0.1615 4.6682 4.5845 Ca
3.0340 -0.5902 2.9770 Ca
4.0392 4.0795 0.8817 Ca
2.4726 3.6732 6.0409 Ca
-0.3437 1.5148 4.3155 Al
1.0728 3.4907 2.1888 Al
-0.3018 2.8791 7.3299 Al
3.1743 1.1989 0.2315 Al
1.7997 0.5873 5.3726 Al
3.2162 2.5632 3.2460 Al
-0.5716 2.8057 2.9199 N
0.6494 4.6959 0.8243 N
-0.4046 -2.3931 6.7843 N
0.6893 -0.0188 3.9035 N
0.5679 1.9448 5.9380 N
2.3046 2.1332 1.6235 N
2.1831 4.0968 3.6579 N
3.2771 6.4711 0.7771 N
2.2231 -0.6179 6.7371 N
3.4441 1.2723 4.6416 N
```

Principal peaks in the range 10 to 90 degrees two-theta, in order of rising 2θ:
2θ (°)  Rel. int.
30.7  47
33.0  57
33.3  27
33.4  22
33.7  100
34.5  67
36.7  27
38.6  24
40.8  35
40.9  21

Structure and calculated XRD peak list of Ba3IrF6 (a structure optimized by DFT (GGA-PBE); Cu Kα (weighted mean of Kα1 and Kα2)).
Intensities are scaled so that the largest is 100.

Atomic structure:
```
Ba3IrF6
1.0
6.4962 0.0000 0.0000
-0.0710 6.5516 0.0000
-1.1572 -1.6827 6.3469
Ba Ir F
3 1 6
Cartesian
0.0000 0.0000 0.0000 Ba
-0.6141 2.4345 3.1735 Ba
2.6695 -0.8413 3.1735 Ba
-0.5786 -0.8413 3.1735 Ir
0.5189 4.5902 1.8078 F
0.7490 4.0843 4.7638 F
1.4077 1.2557 1.8598 F
3.8603 3.6132 4.4871 F
4.5191 0.7846 1.5832 F
4.7491 0.2787 4.5392 F
```

Principal peaks in the range 10 to 90 degrees two-theta, in order of rising 2θ:
2θ (°)  Rel. int.
13.9  100
14.0  49
28.0  28
28.1  31
28.2  19
34.5  24
36.1  18
38.9  15
41.3  13
43.7  11

What did the first record say?
Structure and calculated XRD peak list of CaH4SO6 (a structure optimized by DFT (GGA-PBE); Cu Kα (weighted mean of Kα1 and Kα2)).
Intensities are scaled so that the largest is 100.

Atomic structure:
```
CaH4SO6
1.0
2.8422 -7.7815 0.0000
2.8422 7.7815 0.0000
-2.5947 0.0000 5.8360
Ca H S O
2 8 2 12
Cartesian
0.8962 5.0411 4.3770 Ca
2.1935 -5.0411 1.4590 Ca
0.4094 0.2418 2.8638 H
-0.8879 -0.2418 5.7818 H
0.2765 1.4098 5.7551 H
1.5158 1.4098 2.9989 H
1.5739 -1.4098 2.8371 H
2.8131 -1.4098 0.0809 H
3.9776 0.2418 0.0542 H
2.6802 -0.2418 2.9722 H
2.1935 5.1305 1.4590 S
0.8962 -5.1305 4.3770 S
-1.4700 1.8147 5.5195 O
1.0932 4.2688 1.9889 O
0.6231 1.1707 2.6463 O
-0.1727 -1.8147 2.6014 O
3.2938 4.2688 0.9291 O
-0.6742 -1.1707 5.5643 O
3.7639 1.1707 0.2717 O
-0.2041 -4.2688 4.9069 O
3.2624 1.8147 3.2346 O
2.4666 -1.1707 3.1897 O
1.9965 -4.2688 3.8471 O
4.5597 -1.8147 0.3166 O
```

Principal peaks in the range 10 to 90 degrees two-theta, in order of rising 2θ:
2θ (°)  Rel. int.
11.4  75
18.0  26
24.2  100
28.9  30
32.8  30
33.3  20
33.6  21
42.9  19
46.9  15
49.7  13